Record 1
Sr2MgCoO4: simulated X-ray diffraction stick pattern (Cu Kα X-rays), based on a structure optimized by DFT (GGA+U).

Top 10 peaks for 10° ≤ 2θ ≤ 90°, sorted by position:
d 4.970, 2θ = 17.8°, I 324, hkl 0 1 0
d 4.570, 2θ = 19.4°, I 331, hkl 0 1 1
d 3.452, 2θ = 25.8°, I 283, hkl 0 0 2
d 3.055, 2θ = 29.2°, I 1000, hkl 1 1 0
d 2.944, 2θ = 30.4°, I 443, hkl 1 -1 0
d 2.844, 2θ = 31.5°, I 280, hkl 1 0 2
d 2.568, 2θ = 34.9°, I 267, hkl 0 1 -2
d 2.303, 2θ = 39.1°, I 330, hkl 0 1 3
d 2.220, 2θ = 40.6°, I 227, hkl -1 1 2
d 1.592, 2θ = 57.9°, I 259, hkl -1 2 3

Crystal structure
```
data_Sr2MgCoO4
_space_group_name_H-M_alt 'P 1'
_space_group_IT_number 1
_cell_length_a 3.8529
_cell_length_b 5.1314
_cell_length_c 7.2722
_cell_angle_alpha 75.75
_cell_angle_beta 77.50
_cell_angle_gamma 84.87
loop_
_space_group_symop_operation_xyz
'x,y,z'
loop_
_atom_site_label
_atom_site_fract_x
_atom_site_fract_y
_atom_site_fract_z
Sr1 0.0000 0.0000 0.0000
Sr2 0.3764 0.5933 0.4140
Mg1 0.6052 0.6233 0.8088
Co1 0.8788 0.0556 0.5606
O1 0.1277 0.7650 0.7221
O2 0.5065 0.6952 0.0653
O3 0.6979 0.3016 0.7019
O4 0.8642 0.9210 0.3562
```

Record 2
SrMgCo4O12: simulated X-ray diffraction stick pattern (Cu Kα X-rays), based on a structure optimized by DFT (GGA+U).

Top 10 peaks for 10° ≤ 2θ ≤ 90°, sorted by position:
d 4.317, 2θ = 20.6°, I 538, hkl 1 0 1
d 3.746, 2θ = 23.8°, I 629, hkl 1 1 0
d 3.724, 2θ = 23.9°, I 307, hkl 0 0 2
d 2.649, 2θ = 33.8°, I 507, hkl 2 0 0
d 2.641, 2θ = 33.9°, I 1000, hkl 1 1 2
d 1.873, 2θ = 48.6°, I 584, hkl 2 2 0
d 1.862, 2θ = 48.9°, I 282, hkl 0 0 4
d 1.674, 2θ = 54.8°, I 190, hkl 3 1 0
d 1.528, 2θ = 60.6°, I 374, hkl 3 1 2
d 1.321, 2θ = 71.4°, I 304, hkl 2 2 4

Crystal structure
```
data_SrMgCo4O12
_space_group_name_H-M_alt 'P 4/m m m'
_space_group_IT_number 123
_space_group_name_Hall '-P 4 2'
_cell_length_a 5.2981
_cell_length_b 5.2981
_cell_length_c 7.4484
_cell_angle_alpha 90.00
_cell_angle_beta 90.00
_cell_angle_gamma 90.00
loop_
_atom_site_label
_atom_site_fract_x
_atom_site_fract_y
_atom_site_fract_z
Sr1 0.0000 0.0000 0.0000
Mg1 0.5000 0.5000 0.5000
Co1 0.0000 0.5000 0.2519
O1 0.0000 0.5000 0.0000
O2 0.0000 0.5000 0.5000
O3 0.2566 0.2566 0.2605
```

Record 3
Sr2MgCoO4: simulated X-ray diffraction stick pattern (Cu Kα X-rays), based on a structure optimized by DFT (GGA+U).

Top 10 peaks for 10° ≤ 2θ ≤ 90°, sorted by position:
d 4.747, 2θ = 18.7°, I 440, hkl 0 0 4
d 3.317, 2θ = 26.9°, I 683, hkl 0 1 3
d 3.291, 2θ = 27.1°, I 670, hkl 1 0 3
d 3.165, 2θ = 28.2°, I 805, hkl 0 0 6
d 2.739, 2θ = 32.7°, I 1000, hkl 1 1 0
d 2.632, 2θ = 34.1°, I 220, hkl 1 1 2
d 2.071, 2θ = 43.7°, I 537, hkl 1 1 6
d 1.947, 2θ = 46.6°, I 273, hkl 0 2 0
d 1.926, 2θ = 47.2°, I 263, hkl 2 0 0
d 1.658, 2θ = 55.4°, I 212, hkl 0 2 6

Crystal structure
```
data_Sr2MgCoO4
_space_group_name_H-M_alt 'I m m m'
_space_group_IT_number 71
_space_group_name_Hall '-I 2 2'
_cell_length_a 3.8529
_cell_length_b 3.8946
_cell_length_c 18.9885
_cell_angle_alpha 90.00
_cell_angle_beta 90.00
_cell_angle_gamma 90.00
loop_
_atom_site_label
_atom_site_fract_x
_atom_site_fract_y
_atom_site_fract_z
Sr1 0.0000 0.0000 0.1862
Mg1 0.0000 0.0000 0.0000
Co1 0.0000 0.0000 0.5000
O1 0.0000 0.0000 0.3095
O2 0.0000 0.5000 0.0000
O3 0.0000 0.5000 0.5000
```